Entry 1:
# Ag2O
Calculated XRD peak list, a wavelength of 1.5418 Å. Input: a cell relaxed with GGA-PBE.
Intensities are scaled so that the largest is 100.

Top 10 peaks for 2θ from 5° to 70°, most intense first:
32.96°, 2.718 Å, rel. 100; 32.35°, 2.767 Å, rel. 52; 35.78°, 2.509 Å, rel. 35; 41.38°, 2.182 Å, rel. 28; 33.09°, 2.707 Å, rel. 27; 43.61°, 2.076 Å, rel. 24; 67.72°, 1.384 Å, rel. 23; 62.53°, 1.485 Å, rel. 19; 51.88°, 1.762 Å, rel. 15; 27.75°, 3.215 Å, rel. 14

Structural model:
```
data_Ag2O
_chemical_formula_sum 'Ag16 O8'
_space_group_name_H-M_alt 'I b a m'
_space_group_IT_number 72
_space_group_name_Hall '-I 2 2c'
_cell_length_a 6.4655
_cell_length_b 10.0370
_cell_length_c 6.4303
_cell_angle_alpha 90.00
_cell_angle_beta 90.00
_cell_angle_gamma 90.00
loop_
_atom_site_label
_atom_site_type_symbol
_atom_site_fract_x
_atom_site_fract_y
_atom_site_fract_z
Ag1 Ag 0.0000 0.0000 0.0000
Ag2 Ag 0.0000 0.5000 0.2500
Ag3 Ag 0.2500 0.2500 0.2500
O1 O 0.2217 0.3879 0.0000
```

***

Entry 2:
# Er2PbS4
Calculated XRD peak list, a wavelength of 1.5418 Å. Input: a cell relaxed with GGA-PBE.
Intensities are scaled so that the largest is 100.

Top 10 peaks for 2θ from 5° to 70°, most intense first:
25.47°, 3.497 Å, rel. 100; 37.00°, 2.430 Å, rel. 54; 26.71°, 3.337 Å, rel. 53; 30.21°, 2.958 Å, rel. 44; 45.62°, 1.989 Å, rel. 43; 24.91°, 3.574 Å, rel. 37; 26.89°, 3.316 Å, rel. 33; 53.00°, 1.728 Å, rel. 28; 32.32°, 2.770 Å, rel. 25; 40.73°, 2.215 Å, rel. 25

Structural model:
```
data_Er2PbS4
_chemical_formula_sum 'Er8 Pb4 S16'
_space_group_name_H-M_alt 'P n m a'
_space_group_IT_number 62
_cell_length_a 12.0268
_cell_length_b 3.9743
_cell_length_c 14.2962
_cell_angle_alpha 90.00
_cell_angle_beta 90.00
_cell_angle_gamma 90.00
loop_
_space_group_symop_operation_xyz
'x,y,z'
'-x,-y,-z'
'-x+1/2,-y,z+1/2'
'x+1/2,y,-z+1/2'
'x+1/2,-y+1/2,-z+1/2'
'-x+1/2,y+1/2,z+1/2'
'-x,y+1/2,-z'
'x,-y+1/2,z'
loop_
_atom_site_label
_atom_site_type_symbol
_atom_site_fract_x
_atom_site_fract_y
_atom_site_fract_z
Er1 Er 0.0630 0.2500 0.1100
Er2 Er 0.0819 0.2500 0.5980
Pb1 Pb 0.2374 0.2500 0.3313
S1 S 0.0236 0.7500 0.7137
S2 S 0.0852 0.2500 0.9223
S3 S 0.1294 0.7500 0.4709
S4 S 0.2066 0.7500 0.1690
```

***

Q: Which formula does entry 2 have?
A: Er2PbS4